Li2Mn4O5F3: simulated XRD peak list (a wavelength of 1.5418 Å), based on a cell relaxed with PBE+U.
Neutral-atom scattering factors, no anomalous dispersion.

Principal peaks in the range 2θ = 15–90°, low angle first:
2θ (°), I/Imax, h k l
17.07, 66, 0 0 2
17.30, 48, 2 0 0
18.11, 100, 1 1 -1
33.67, 35, 1 1 3
40.26, 50, 4 0 -4
42.12, 86, 2 2 2

Cell and atoms:
```
data_Li2Mn4O5F3
_symmetry_space_group_name_H-M 'C 1 c 1'
_symmetry_Int_Tables_number 9
_symmetry_space_group_name_Hall 'C -2yc'
_cell_length_a 10.888
_cell_length_b 5.851
_cell_length_c 11.035
_cell_angle_alpha 90.00
_cell_angle_beta 109.66
_cell_angle_gamma 90.00
loop_
_atom_site_label
_atom_site_type_symbol
_atom_site_fract_x
_atom_site_fract_y
_atom_site_fract_z
Li1 Li 0.000 0.230 0.000
Li2 Li 0.418 0.248 0.120
Mn1 Mn 0.202 0.244 0.564
Mn2 Mn 0.203 0.005 0.824
Mn3 Mn 0.209 0.497 0.316
Mn4 Mn 0.462 0.258 0.819
O1 O 0.070 0.028 0.433
O2 O 0.088 0.250 0.225
O3 O 0.115 0.252 0.708
O4 O 0.304 0.248 0.426
O5 O 0.330 0.254 0.907
F1 F 0.081 0.481 0.944
F2 F 0.333 0.492 0.181
F3 F 0.353 0.018 0.695
```